No. 1
K3Ti2O3F4: simulated powder X-ray diffraction pattern (Cu Kα (weighted mean of Kα1 and Kα2)), based on a DFT-relaxed cell (PBE, Alexandria).

Structural model:
Cell lengths 3.844, 4.180, 21.574 Å; angles 90.00, 90.00, 90.00 degrees
Space group Immm (No. 71)
Symmetry-distinct sites (fractional):
K 0.000 0.000 0.000 [2 per cell]
K 0.000 0.000 0.187 [4 per cell]
Ti 0.000 0.000 0.412 [4 per cell]
O 0.000 0.000 0.500 [2 per cell]
O 0.000 0.500 0.096 [4 per cell]
F 0.000 0.000 0.312 [4 per cell]
F 0.000 0.500 0.406 [4 per cell]

Principal peaks in the range 2θ from 15° to 90°, low angle first:
(hkl), 2θ (°), I_rel
0 1 5, 29.76, 61
1 0 5, 31.16, 62
1 1 0, 31.62, 100
1 1 6, 40.57, 30
0 0 10, 41.87, 41
0 2 0, 43.29, 56
2 0 0, 47.30, 42
2 2 0, 66.04, 26

***

No. 2
AgMoPd4: simulated powder X-ray diffraction pattern (Cu Kα (weighted mean of Kα1 and Kα2)), based on a DFT-relaxed cell (PBE, Alexandria).

Structural model:
Cell lengths 2.782, 4.032, 8.390 Å; angles 90.00, 90.00, 90.00 degrees
Space group Pmmm (No. 47)
Symmetry-distinct sites (fractional):
Ag 0.000 0.000 0.000 [1 per cell]
Mo 0.500 0.500 0.500 [1 per cell]
Pd 0.000 0.000 0.340 [2 per cell]
Pd 0.500 0.500 0.179 [2 per cell]

Principal peaks in the range 2θ from 15° to 90°, low angle first:
(hkl), 2θ (°), I_rel
0 1 3, 39.20, 99
1 1 0, 39.35, 100
0 2 0, 44.96, 34
1 0 3, 46.02, 62
1 2 3, 66.29, 40
1 3 0, 79.09, 25
1 1 6, 80.47, 22
2 1 3, 80.76, 23

***

No. 3
DyY6Sc3: simulated powder X-ray diffraction pattern (Cu Kα (weighted mean of Kα1 and Kα2)), based on a DFT-relaxed cell (PBE, Alexandria).

Structural model:
Cell lengths 9.436, 20.368, 6.266 Å; angles 90.00, 90.00, 90.00 degrees
Space group Cmc2_1 (No. 36)
Symmetry-distinct sites (fractional):
Dy 0.000 0.158 0.000 [4 per cell]
Y 0.000 0.015 0.776 [4 per cell]
Y 0.000 0.302 0.773 [4 per cell]
Y 0.178 0.282 0.308 [8 per cell]
Y 0.180 0.443 0.566 [8 per cell]
Sc 0.000 0.416 0.086 [4 per cell]
Sc 0.167 0.127 0.469 [8 per cell]

Principal peaks in the range 2θ from 15° to 90°, low angle first:
(hkl), 2θ (°), I_rel
2 4 1, 29.48, 49
0 2 2, 29.88, 28
1 7 0, 32.16, 100
1 3 2, 32.89, 55
0 4 2, 33.59, 23
3 3 1, 34.53, 28
2 6 1, 35.55, 31
5 7 0, 58.24, 28

***

No. 4
RbInAg2F8: simulated powder X-ray diffraction pattern (Cu Kα (weighted mean of Kα1 and Kα2)), based on a DFT-relaxed cell (PBE, Alexandria).

Structural model:
Cell lengths 4.932, 5.330, 8.185 Å; angles 95.88, 90.30, 93.52 degrees
Space group P-1 (No. 2)
Symmetry-distinct sites (fractional):
Rb 0.000 0.000 0.000 [1 per cell]
In 0.000 0.000 0.500 [1 per cell]
Ag 0.470 0.511 0.280 [2 per cell]
F 0.143 0.232 0.322 [2 per cell]
F 0.166 0.232 0.707 [2 per cell]
F 0.333 0.762 0.481 [2 per cell]
F 0.432 0.718 0.922 [2 per cell]

Principal peaks in the range 2θ from 15° to 90°, low angle first:
(hkl), 2θ (°), I_rel
1 -1 0, 23.91, 100
1 1 0, 25.47, 76
0 1 -2, 26.21, 77
1 0 -2, 28.29, 27
1 0 2, 28.62, 46
0 1 2, 29.02, 41
2 0 0, 36.51, 25
1 2 -2, 43.77, 26

***

No. 5
VSiS2Cl: simulated powder X-ray diffraction pattern (Cu Kα (weighted mean of Kα1 and Kα2)), based on a DFT-relaxed cell (PBE, Alexandria).

Structural model:
Cell lengths 4.646, 4.646, 4.538 Å; angles 90.00, 90.00, 90.00 degrees
Space group P4/mmm (No. 123)
Symmetry-distinct sites (fractional):
V 0.000 0.000 0.000 [1 per cell]
Si 0.500 0.500 0.500 [1 per cell]
S 0.000 0.500 0.000 [2 per cell]
Cl 0.000 0.000 0.500 [1 per cell]

Principal peaks in the range 2θ from 15° to 90°, low angle first:
(hkl), 2θ (°), I_rel
1 0 0, 19.10, 70
1 0 1, 27.48, 30
1 1 1, 33.68, 61
2 0 0, 38.76, 100
0 0 2, 39.73, 46
2 2 0, 55.98, 31
2 0 2, 56.71, 59
2 2 2, 70.82, 29

***

No. 6
Nd2Y8Th3: simulated powder X-ray diffraction pattern (Cu Kα (weighted mean of Kα1 and Kα2)), based on a DFT-relaxed cell (PBE, Alexandria).

Structural model:
Cell lengths 5.683, 6.820, 22.448 Å; angles 90.00, 90.00, 90.00 degrees
Space group Immm (No. 71)
Symmetry-distinct sites (fractional):
Nd 0.000 0.000 0.225 [4 per cell]
Y 0.000 0.000 0.075 [4 per cell]
Y 0.000 0.259 0.352 [8 per cell]
Y 0.000 0.500 0.179 [4 per cell]
Th 0.000 0.268 0.500 [4 per cell]
Th 0.000 0.500 0.000 [2 per cell]

Principal peaks in the range 2θ from 15° to 90°, low angle first:
(hkl), 2θ (°), I_rel
0 0 4, 15.79, 19
0 0 6, 23.77, 22
1 2 1, 30.84, 100
2 0 0, 31.49, 83
1 0 7, 32.05, 31
1 2 5, 36.68, 31
3 2 1, 55.66, 19
3 2 5, 59.52, 18

***

No. 7
Ac4Ir: simulated powder X-ray diffraction pattern (Cu Kα (weighted mean of Kα1 and Kα2)), based on a DFT-relaxed cell (PBE, Alexandria).

Structural model:
Cell lengths 13.873, 14.668, 8.307 Å; angles 90.00, 90.00, 90.00 degrees
Space group Fdd2 (No. 43)
Symmetry-distinct sites (fractional):
Ac 0.121 0.333 0.000 [16 per cell]
Ac 0.122 0.081 0.250 [16 per cell]
Ir 0.000 0.000 0.502 [8 per cell]

Principal peaks in the range 2θ from 15° to 90°, low angle first:
(hkl), 2θ (°), I_rel
4 0 0, 25.69, 25
2 4 0, 27.51, 54
2 2 2, 27.84, 100
4 4 0, 35.63, 17
4 2 2, 35.89, 37
0 6 2, 42.93, 32
6 2 2, 46.63, 25
2 4 4, 52.32, 19

***

No. 8
Cs5GaAs2: simulated powder X-ray diffraction pattern (Cu Kα (weighted mean of Kα1 and Kα2)), based on a DFT-relaxed cell (PBE, Alexandria).

Structural model:
Cell lengths 6.2839, 6.2839, 47.0414 Å; angles 90.00, 90.00, 120.00 degrees
Space group R-3m (No. 166, hexagonal axes)
Symmetry-distinct sites (fractional):
Cs 0.0000 0.0000 0.0000 [3 per cell]
Cs 0.0000 0.0000 0.1371 [6 per cell]
Cs 0.0000 0.0000 0.2516 [6 per cell]
Ga 0.0000 0.0000 0.5000 [3 per cell]
As 0.0000 0.0000 0.4511 [6 per cell]

Principal peaks in the range 2θ from 15° to 90°, low angle first:
(hkl), 2θ (°), I_rel
1 0 4, 17.96, 27
1 0 7, 21.01, 44
0 1 8, 22.26, 70
1 0 10, 25.02, 26
1 1 0, 28.41, 100
1 0 16, 34.68, 24
2 0 8, 36.39, 22
1 2 8, 46.79, 20

***

No. 9
Nd2Er12Th: simulated powder X-ray diffraction pattern (Cu Kα (weighted mean of Kα1 and Kα2)), based on a DFT-relaxed cell (PBE, Alexandria).

Structural model:
Cell lengths 3.495, 5.595, 24.422 Å; angles 96.56, 94.02, 90.02 degrees
Space group P1 (No. 1)
Symmetry-distinct sites (fractional):
Nd 0.000 0.000 0.000 [1 per cell]
Nd 0.225 0.731 0.461 [1 per cell]
Er 0.093 0.595 0.189 [1 per cell]
Er 0.132 0.136 0.273 [1 per cell]
Er 0.328 0.332 0.662 [1 per cell]
Er 0.426 0.929 0.857 [1 per cell]
Er 0.467 0.467 0.932 [1 per cell]
Er 0.533 0.533 0.066 [1 per cell]
Er 0.570 0.072 0.144 [1 per cell]
Er 0.655 0.659 0.318 [1 per cell]
Er 0.693 0.198 0.397 [1 per cell]
Er 0.760 0.266 0.531 [1 per cell]
Er 0.796 0.799 0.597 [1 per cell]
Er 0.902 0.404 0.808 [1 per cell]
Th 0.862 0.864 0.728 [1 per cell]

Principal peaks in the range 2θ from 15° to 90°, low angle first:
(hkl), 2θ (°), I_rel
1 0 4, 30.50, 22
0 2 -1, 32.01, 100
1 1 -4, 32.17, 57
1 2 3, 44.79, 16
1 0 -11, 47.24, 11
0 3 6, 57.06, 20
2 2 -2, 62.70, 29
2 3 -10, 81.09, 11

***

No. 10
Ho2Tm5Tl4: simulated powder X-ray diffraction pattern (Cu Kα (weighted mean of Kα1 and Kα2)), based on a DFT-relaxed cell (PBE, Alexandria).

Structural model:
Cell lengths 5.151, 10.492, 13.220 Å; angles 90.00, 90.00, 90.00 degrees
Space group Immm (No. 71)
Symmetry-distinct sites (fractional):
Ho 0.000 0.000 0.169 [4 per cell]
Tm 0.000 0.344 0.217 [8 per cell]
Tm 0.000 0.500 0.500 [2 per cell]
Tl 0.000 0.000 0.391 [4 per cell]
Tl 0.000 0.210 0.000 [4 per cell]

Principal peaks in the range 2θ from 15° to 90°, low angle first:
(hkl), 2θ (°), I_rel
1 2 1, 25.15, 85
1 3 0, 30.90, 44
0 2 4, 32.01, 34
1 1 4, 33.32, 56
1 3 2, 33.82, 100
2 0 0, 34.83, 69
1 0 5, 38.26, 52
2 2 4, 48.02, 26